Record 1
For In4SnS8, a structure optimized by DFT (GGA-PBE) gives the computed X-ray powder pattern in this record (Cu Kα).
Lines closer than 0.1° are merged.

Principal peaks in the range 15 to 90 degrees two-theta, sorted by position:
d_spacing	I (rel.)
5.416	223
3.266	1000
3.127	156
2.708	568
2.085	515
1.917	363
1.913	355
1.106	156

Cell and atoms:
```
13
Lattice="3.835 2.214 6.239 -3.835 2.214 6.239 0.000 -4.428 6.239" Properties=species:S:1:pos:R:3 pbc="T T T"
In 0.000 0.000 0.000
In -1.768 -1.021 8.717
In 1.768 -1.021 8.717
In 0.000 2.042 8.717
Sn 0.000 0.000 11.603
S 0.000 0.000 7.170
S 0.000 -2.147 10.277
S -1.860 1.074 10.277
S -1.772 -1.023 13.378
S 0.000 0.000 16.214
S 1.772 -1.023 13.378
S 0.000 2.046 13.378
S 1.860 1.074 10.277
```

Record 2
For InSnS2, a structure optimized by DFT (GGA-PBE) gives the computed X-ray powder pattern in this record (Cu Kα).
Lines closer than 0.1° are merged.

Principal peaks in the range 15 to 90 degrees two-theta, sorted by position:
d_spacing	I (rel.)
3.587	275
3.387	607
3.268	378
2.682	1000
2.289	446
1.980	498
1.734	232
1.329	248

Cell and atoms:
```
4
Lattice="1.980 1.143 7.174 -1.980 1.143 7.174 0.000 -2.287 7.174" Properties=species:S:1:pos:R:3 pbc="T T T"
In 0.000 0.000 0.000
Sn 0.000 0.000 3.692
S 0.000 0.000 12.607
S 0.000 0.000 16.425
```

Record 3
For In10SnS14, a structure optimized by DFT (GGA-PBE) gives the computed X-ray powder pattern in this record (Cu Kα).
Lines closer than 0.1° are merged.

Principal peaks in the range 15 to 90 degrees two-theta, sorted by position:
d_spacing	I (rel.)
3.591	547
3.566	823
3.424	589
3.229	847
2.692	640
2.588	1000
1.979	600
1.972	768

Cell and atoms:
```
25
Lattice="9.176 0.000 0.000 0.000 3.944 0.000 -3.364 0.000 16.877" Properties=species:S:1:pos:R:3 pbc="T T T"
In 0.000 0.000 0.000
In -1.632 0.000 8.598
In -0.207 1.972 3.484
In -1.512 1.972 12.600
In 0.630 0.000 6.944
In 3.150 1.972 1.036
In 1.366 0.000 11.143
In 4.263 1.972 9.427
In 5.927 0.000 2.219
In 4.998 1.972 13.537
Sn 4.905 0.000 5.608
S -1.931 1.972 16.054
S 1.208 0.000 2.324
S -0.365 1.972 10.230
S 1.399 1.972 5.550
S -0.033 0.000 13.286
S 2.560 0.000 8.722
S 4.493 0.000 0.143
S 4.445 1.972 3.299
S 3.017 1.972 11.756
S 4.142 0.000 14.907
S 5.849 1.972 7.295
S 5.749 0.000 10.336
S 7.556 1.972 1.303
S 7.370 0.000 4.435
```

Record 4
For Sr4InS5, a structure optimized by DFT (GGA-PBE) gives the computed X-ray powder pattern in this record (Cu Kα).
Lines closer than 0.1° are merged.

Principal peaks in the range 15 to 90 degrees two-theta, sorted by position:
d_spacing	I (rel.)
3.470	621
3.018	1000
2.981	481
2.134	361
2.121	704
1.818	218
1.735	368
1.230	234

Cell and atoms:
```
10
Lattice="-4.772 4.772 2.981 4.772 -4.772 2.981 4.772 4.772 -2.981" Properties=species:S:1:pos:R:3 pbc="T T T"
Sr 2.858 0.970 0.000
Sr 3.802 -1.914 2.981
Sr 0.970 6.686 0.000
Sr 1.914 3.802 2.981
In 0.000 0.000 3.029
S 5.716 1.924 -0.001
S 1.924 3.828 -0.001
S 2.848 0.944 2.980
S -0.944 2.848 2.980
S 0.000 0.000 5.884
```